Simulated XRD peak list of Bi for Cu Kα, from a DFT-relaxed cell (PBE, the Materials Project).

Main lines, in order of rising 2θ (2θ from 5° to 70°):
d_spacing	2theta	intensity	h k l
3.321	26.8	47	0 0 2
3.208	27.8	100	1 1 0
3.087	28.9	46	1 1 -1
2.688	33.3	31	0 1 2
2.515	35.7	28	1 1 -2
2.289	39.4	54	0 2 0
2.144	42.1	22	1 1 2
1.885	48.3	20	0 2 2
1.666	55.1	19	2 1 -3
1.457	63.9	20	3 1 -1

Atomic structure:
```
Bi
1.0
4.6133 0.0000 0.0000
0.0000 4.5776 0.0000
-1.5120 0.0000 6.6422
Bi
4
Cartesian
0.3410 1.1444 1.4269
0.4580 1.1444 4.5307
2.6433 3.4332 2.1115
2.7603 3.4332 5.2153
```